Entry 1:
# La4CdCo
Simulated powder XRD pattern, Cu Kα, 1.54184 Å. Input: a structure optimized by DFT (PBE).
Peak positions follow from Bragg's law for the DFT cell and can differ from measured ones.

Structure:
a b c (Å): 9.9834 9.9834 9.9834
angles (deg): 60.00 60.00 60.00
Atoms (fractional coordinates):
La: 0.1896 0.1896 0.8104
La: 0.1896 0.8104 0.1896
La: 0.1896 0.8104 0.8104
La: 0.3455 0.3455 0.3455
La: 0.3455 0.3455 0.9634
La: 0.3455 0.9634 0.3455
La: 0.5594 0.5594 0.9406
La: 0.5594 0.9406 0.5594
La: 0.5594 0.9406 0.9406
La: 0.8104 0.1896 0.1896
La: 0.8104 0.1896 0.8104
La: 0.8104 0.8104 0.1896
La: 0.9406 0.5594 0.5594
La: 0.9406 0.5594 0.9406
La: 0.9406 0.9406 0.5594
La: 0.9634 0.3455 0.3455
Cd: 0.2638 0.5787 0.5787
Cd: 0.5787 0.2638 0.5787
Cd: 0.5787 0.5787 0.2638
Cd: 0.5787 0.5787 0.5787
Co: 0.1402 0.1402 0.1402
Co: 0.1402 0.1402 0.5794
Co: 0.1402 0.5794 0.1402
Co: 0.5794 0.1402 0.1402

Principal peaks in the range 2θ from 10° to 80°, in order of falling intensity:
- 32.97°, rel. 100
- 31.03°, rel. 60
- 55.20°, rel. 53
- 27.54°, rel. 30
- 35.98°, rel. 28
- 65.82°, rel. 16
- 56.44°, rel. 13
- 53.10°, rel. 13



Entry 2:
# Na2As4O11
Simulated powder XRD pattern, Cu Kα, 1.54184 Å. Input: a structure optimized by DFT (PBE).
Peak positions follow from Bragg's law for the DFT cell and can differ from measured ones.

Structure:
a b c (Å): 6.2636 6.2636 11.7764
angles (deg): 99.64 99.64 84.90
Atoms (fractional coordinates):
Na: 0.0419 0.2345 0.4657
Na: 0.2345 0.0419 0.9657
Na: 0.7655 0.9581 0.0343
Na: 0.9581 0.7655 0.5343
As: 0.0340 0.4572 0.1661
As: 0.4169 0.4991 0.3819
As: 0.4572 0.0340 0.6661
As: 0.4991 0.4169 0.8819
As: 0.5009 0.5831 0.1181
As: 0.5428 0.9660 0.3339
As: 0.5831 0.5009 0.6181
As: 0.9660 0.5428 0.8339
O: 0.0286 0.1925 0.1180
O: 0.1198 0.5211 0.3180
O: 0.1925 0.0286 0.6180
O: 0.1974 0.5944 0.0991
O: 0.1976 0.3710 0.8563
O: 0.3150 0.5241 0.5243
O: 0.3710 0.1976 0.3563
O: 0.4056 0.8026 0.4009
O: 0.4570 0.5430 0.7500
O: 0.4759 0.6850 0.9757
O: 0.4789 0.8802 0.1820
O: 0.5211 0.1198 0.8180
O: 0.5241 0.3150 0.0243
O: 0.5430 0.4570 0.2500
O: 0.5944 0.1974 0.5991
O: 0.6290 0.8024 0.6437
O: 0.6850 0.4759 0.4757
O: 0.8024 0.6290 0.1437
O: 0.8026 0.4056 0.9009
O: 0.8075 0.9714 0.3820
O: 0.8802 0.4789 0.6820
O: 0.9714 0.8075 0.8820

Principal peaks in the range 2θ from 10° to 80°, in order of falling intensity:
- 14.37°, rel. 100
- 28.98°, rel. 55
- 22.17°, rel. 30
- 15.23°, rel. 28
- 29.34°, rel. 28
- 22.41°, rel. 27
- 35.17°, rel. 25
- 25.44°, rel. 22



Entry 3:
# NaYF4
Simulated powder XRD pattern, Cu Kα, 1.54184 Å. Input: a structure optimized by DFT (PBE).
Peak positions follow from Bragg's law for the DFT cell and can differ from measured ones.

Structure:
a b c (Å): 6.0712 6.0712 7.1052
angles (deg): 90.00 90.00 120.00
Atoms (fractional coordinates):
Na: 0.0000 0.0000 0.0000
Na: 0.6667 0.3333 0.2123
Na: 0.6667 0.3333 0.7877
Y: 0.0000 0.0000 0.5000
Y: 0.3333 0.6667 0.2466
Y: 0.3333 0.6667 0.7534
F: 0.0508 0.4414 0.0000
F: 0.0606 0.4212 0.5000
F: 0.2689 0.2600 0.2644
F: 0.2689 0.2600 0.7356
F: 0.3607 0.9394 0.5000
F: 0.3906 0.9492 0.0000
F: 0.5586 0.6094 0.0000
F: 0.5788 0.6393 0.5000
F: 0.7400 0.0089 0.2644
F: 0.7400 0.0089 0.7356
F: 0.9911 0.7311 0.2644
F: 0.9911 0.7311 0.7356

Principal peaks in the range 2θ from 10° to 80°, in order of falling intensity:
- 42.79°, rel. 100
- 16.86°, rel. 90
- 30.36°, rel. 79
- 52.78°, rel. 77
- 29.42°, rel. 77
- 52.19°, rel. 42
- 39.03°, rel. 39
- 21.02°, rel. 36



Entry 4:
# IrCl3
Simulated powder XRD pattern, Cu Kα, 1.54184 Å. Input: a structure optimized by DFT (PBE).
Peak positions follow from Bragg's law for the DFT cell and can differ from measured ones.

Structure:
a b c (Å): 6.2237 6.2237 11.1835
angles (deg): 100.86 100.86 108.84
Atoms (fractional coordinates):
Ir: 0.0000 0.0000 0.0000
Ir: 0.0805 0.5840 0.1728
Ir: 0.2523 0.7554 0.5083
Ir: 0.8417 0.8346 0.6738
Cl: 0.0023 0.9757 0.5109
Cl: 0.0745 0.6073 0.6571
Cl: 0.1378 0.1425 0.8376
Cl: 0.2287 0.7486 0.0124
Cl: 0.3071 0.3313 0.1627
Cl: 0.3906 0.8811 0.3340
Cl: 0.4985 0.5335 0.5119
Cl: 0.5767 0.0377 0.6616
Cl: 0.6956 0.6902 0.8362
Cl: 0.7956 0.2575 0.0110
Cl: 0.8584 0.8330 0.1620
Cl: 0.9527 0.4437 0.3335

Principal peaks in the range 2θ from 10° to 80°, in order of falling intensity:
- 15.62°, rel. 100
- 35.51°, rel. 52
- 25.94°, rel. 31
- 51.08°, rel. 23
- 19.44°, rel. 18
- 29.51°, rel. 16
- 16.76°, rel. 13
- 33.31°, rel. 12